Diffraction record for TlAg2TeI6. The X-ray diffraction stick pattern is simulated, not measured: it uses DFT lattice parameters and positions (GGA-PBE) and CuKα.
No peak broadening, texture or thermal motion is included.

Main lines, sorted by position (10° ≤ 2θ ≤ 90°):
2θ/deg	d [Å]	Rel. int.	(hkl)
22.0	4.036	1000	1 1 0
24.7	3.608	480	2 -1 0
25.2	3.530	466	1 -2 1
28.4	3.147	570	1 1 1
36.3	2.478	508	-2 1 3
36.7	2.448	543	0 3 -1

a = 7.6199 Å, b = 8.0158 Å, c = 8.2868 Å
α = 93.49°, β = 108.71°, γ = 112.90°
Space group P-1 (No. 2)
Inequivalent atoms, fractional coordinates:
Tl: 0.0000 0.0000 0.0000 (multiplicity 1)
Ag: 0.4601 0.1909 0.5975 (multiplicity 2)
Te: 0.0000 0.5000 0.5000 (multiplicity 1)
I: 0.1691 0.2615 0.6967 (multiplicity 2)
I: 0.1709 0.4594 0.2363 (multiplicity 2)
I: 0.4986 0.1163 0.2665 (multiplicity 2)